For Al7Ag3, the PBE geometry in Alexandria gives the calculated powder XRD pattern in this record (CuKα).
Neutral-atom scattering factors, no anomalous dispersion.

Most intense lines, 10 to 90 degrees two-theta, sorted by position:
h k l	two_theta	intensity
0 1 1	23.47	42.3
1 0 1	25.34	15.8
1 0 -2	25.62	17.2
0 1 2	28.10	13.0
1 1 2	38.13	96.1
1 1 -3	38.46	100.0
0 2 0	44.26	64.6
0 0 5	45.00	30.7
2 2 -1	64.39	19.5
0 2 5	64.98	19.7

Structure:
Unit cell a=4.0942 b=4.0910 c=10.2542 alpha=90.00 beta=100.80 gamma=90.00
Space group Pm (No. 6)
One atom of each set of equivalent atoms:
Al 0.0000 0.0000 0.0000 [1 per cell]
Al 0.0908 0.5000 0.1929 [1 per cell]
Al 0.1885 0.0000 0.3937 [1 per cell]
Al 0.2958 0.5000 0.5947 [1 per cell]
Al 0.4964 0.5000 0.9975 [1 per cell]
Al 0.5925 0.0000 0.1942 [1 per cell]
Al 0.8999 0.5000 0.7994 [1 per cell]
Ag 0.3990 0.0000 0.8000 [1 per cell]
Ag 0.6860 0.5000 0.3915 [1 per cell]
Ag 0.8001 0.0000 0.5967 [1 per cell]

For Tm5Tl2Bi2, the PBE geometry in Alexandria gives the calculated powder XRD pattern in this record (CuKα).
Neutral-atom scattering factors, no anomalous dispersion.

Most intense lines, 10 to 90 degrees two-theta, sorted by position:
h k l	two_theta	intensity
3 1 2	29.97	72.1
0 2 2	31.10	36.6
4 2 0	31.79	47.3
5 1 1	32.65	28.2
4 2 1	33.70	66.5
1 3 1	35.37	100.0
5 1 2	37.99	24.7
5 3 1	45.72	35.3
0 2 4	50.16	23.0
0 4 4	64.87	29.5

Structure:
Unit cell a=15.5994 b=8.1277 c=8.1377 alpha=90.00 beta=90.00 gamma=90.00
Space group Cmce (No. 64)
One atom of each set of equivalent atoms:
Tm 0.0000 0.0000 0.0000 [4 per cell]
Tm 0.1324 0.1660 0.3355 [16 per cell]
Tl 0.0000 0.1359 0.6350 [8 per cell]
Bi 0.2055 0.0000 0.0000 [8 per cell]

For Zn3Ga2Ag7, the PBE geometry in Alexandria gives the calculated powder XRD pattern in this record (CuKα).
Neutral-atom scattering factors, no anomalous dispersion.

Most intense lines, 10 to 90 degrees two-theta, sorted by position:
h k l	two_theta	intensity
1 -1 3	38.25	100.0
2 0 -1	38.34	33.1
1 1 2	42.65	24.3
2 -2 0	44.23	21.7
1 1 -4	46.51	18.7
3 -1 2	63.13	14.2
0 0 6	64.93	13.1
3 1 1	75.18	12.6
3 -3 3	77.32	7.7
-3 3 3	77.49	7.7

Structure:
Unit cell a=5.0002 b=5.0138 c=8.8889 alpha=98.17 beta=97.98 gamma=109.75
Space group P-1 (No. 2)
One atom of each set of equivalent atoms:
Zn 0.0000 0.0000 0.0000 [1 per cell]
Zn 0.3383 0.3372 0.6680 [2 per cell]
Ga 0.1711 0.1708 0.3367 [2 per cell]
Ag 0.0757 0.5849 0.1681 [2 per cell]
Ag 0.2499 0.7502 0.5001 [2 per cell]
Ag 0.4154 0.9244 0.8322 [2 per cell]
Ag 0.5000 0.5000 0.0000 [1 per cell]

For TbBiPt10, the PBE geometry in Alexandria gives the calculated powder XRD pattern in this record (CuKα).
Neutral-atom scattering factors, no anomalous dispersion.

Most intense lines, 10 to 90 degrees two-theta, sorted by position:
h k l	two_theta	intensity
0 1 1	19.07	21.4
1 1 1	27.65	21.6
0 2 2	38.69	28.7
1 2 0	39.00	64.6
1 1 3	39.20	100.0
2 0 0	40.22	52.8
1 2 2	43.82	43.4
1 0 4	44.04	21.2
1 3 3	63.43	24.6
2 2 6	84.26	25.9

Structure:
Unit cell a=4.4843 b=5.3862 c=9.2540 alpha=90.00 beta=90.00 gamma=90.00
Space group Pmmm (No. 47)
One atom of each set of equivalent atoms:
Tb 0.0000 0.0000 0.0000 [1 per cell]
Bi 0.0000 0.5000 0.5000 [1 per cell]
Pt 0.0000 0.0000 0.3337 [2 per cell]
Pt 0.0000 0.5000 0.1673 [2 per cell]
Pt 0.5000 0.0000 0.5000 [1 per cell]
Pt 0.5000 0.2466 0.2454 [4 per cell]
Pt 0.5000 0.5000 0.0000 [1 per cell]

For Tb2Mg3Pt4, the PBE geometry in Alexandria gives the calculated powder XRD pattern in this record (CuKα).
Neutral-atom scattering factors, no anomalous dispersion.

Most intense lines, 10 to 90 degrees two-theta, sorted by position:
h k l	two_theta	intensity
1 1 1	24.74	91.5
1 2 0	27.67	47.8
2 1 -2	32.59	75.4
1 2 1	32.74	57.0
2 2 -1	35.02	100.0
1 2 -2	35.40	74.2
1 1 2	35.78	94.2
3 0 -2	39.22	57.6
0 3 1	39.43	73.2
1 1 -3	39.77	85.2

Structure:
Unit cell a=7.3148 b=7.2908 c=7.1556 alpha=90.00 beta=110.23 gamma=90.00
Space group P2_1/c (No. 14)
One atom of each set of equivalent atoms:
Tb 0.1911 0.1744 0.0557 [4 per cell]
Mg 0.2546 0.6689 0.2458 [4 per cell]
Mg 0.5000 0.0000 0.5000 [2 per cell]
Pt 0.0755 0.5384 0.8444 [4 per cell]
Pt 0.4886 0.1365 0.8639 [4 per cell]

For Dy5Y8In, the PBE geometry in Alexandria gives the calculated powder XRD pattern in this record (CuKα).
Neutral-atom scattering factors, no anomalous dispersion.

Most intense lines, 10 to 90 degrees two-theta, sorted by position:
h k l	two_theta	intensity
2 1 1	21.72	23.9
2 0 2	27.33	33.3
3 0 1	27.64	47.4
2 2 2	32.30	20.8
3 2 1	32.57	100.0
1 0 3	33.37	36.9
4 0 0	34.15	25.7
3 1 2	34.54	48.2
2 2 4	50.23	18.2
5 3 2	55.60	17.9

Structure:
Unit cell a=10.5007 b=10.5007 c=8.3313 alpha=90.00 beta=90.00 gamma=90.00
Space group I-4m2 (No. 119)
One atom of each set of equivalent atoms:
Dy 0.0000 0.0000 0.0000 [2 per cell]
Dy 0.0000 0.1927 0.5895 [8 per cell]
Y 0.0000 0.3395 0.9211 [8 per cell]
Y 0.2083 0.2917 0.2500 [8 per cell]
In 0.0000 0.5000 0.2500 [2 per cell]

For RbYTiSe4, the PBE geometry in Alexandria gives the calculated powder XRD pattern in this record (CuKα).
Neutral-atom scattering factors, no anomalous dispersion.

Most intense lines, 10 to 90 degrees two-theta, sorted by position:
h k l	two_theta	intensity
0 2 0	25.12	39.6
1 0 2	27.41	34.9
2 0 -2	28.30	52.9
1 2 0	28.68	90.5
1 1 2	30.22	100.0
2 1 -2	31.04	65.7
0 2 2	32.09	48.0
1 2 -2	32.35	57.3
2 2 0	37.56	33.4
0 4 0	51.57	35.8

Structure:
Unit cell a=6.8487 b=7.0914 c=9.5247 alpha=90.00 beta=108.51 gamma=90.00
Space group P2_1/m (No. 11)
One atom of each set of equivalent atoms:
Rb 0.2419 0.2500 0.4419 [2 per cell]
Y 0.2868 0.2500 0.9548 [2 per cell]
Ti 0.2661 0.7500 0.1652 [2 per cell]
Se 0.0500 0.7500 0.9190 [2 per cell]
Se 0.0593 0.7500 0.3231 [2 per cell]
Se 0.4886 0.5061 0.7973 [4 per cell]

For Ba2SmInHg6, the PBE geometry in Alexandria gives the calculated powder XRD pattern in this record (CuKα).
Neutral-atom scattering factors, no anomalous dispersion.

Most intense lines, 10 to 90 degrees two-theta, sorted by position:
h k l	two_theta	intensity
2 0 0	15.44	28.4
2 2 2	26.91	92.1
4 0 0	31.17	100.0
4 2 0	34.97	16.0
4 4 0	44.67	74.8
6 2 2	52.92	43.8
4 4 4	55.47	26.3
6 6 2	71.70	17.9
8 4 0	73.86	33.9
8 4 4	82.32	25.8

Structure:
Unit cell a=11.4760 b=11.4760 c=11.4760 alpha=90.00 beta=90.00 gamma=90.00
Space group Fm-3m (No. 225)
One atom of each set of equivalent atoms:
Ba 0.2500 0.2500 0.2500 [8 per cell]
Sm 0.0000 0.0000 0.0000 [4 per cell]
In 0.0000 0.0000 0.5000 [4 per cell]
Hg 0.0000 0.0000 0.2557 [24 per cell]

For U3Re2, the PBE geometry in Alexandria gives the calculated powder XRD pattern in this record (CuKα).
Neutral-atom scattering factors, no anomalous dispersion.

Most intense lines, 10 to 90 degrees two-theta, sorted by position:
h k l	two_theta	intensity
1 1 2	29.14	23.8
0 2 2	33.24	31.0
2 2 0	34.30	36.7
2 0 2	34.55	63.5
2 2 1	36.36	100.0
1 3 1	39.23	25.1
1 1 3	39.68	33.6
0 2 3	42.90	32.0
4 0 0	51.19	25.1
2 4 4	75.42	25.3

Structure:
Unit cell a=7.1380 b=7.6820 c=7.5653 alpha=90.00 beta=90.00 gamma=90.00
Space group Cmce (No. 64)
One atom of each set of equivalent atoms:
U 0.0000 0.0000 0.0000 [4 per cell]
U 0.2500 0.1666 0.2500 [8 per cell]
Re 0.0000 0.1118 0.6246 [8 per cell]

For Pm3SmH8, the PBE geometry in Alexandria gives the calculated powder XRD pattern in this record (CuKα).
Neutral-atom scattering factors, no anomalous dispersion.

Most intense lines, 10 to 90 degrees two-theta, sorted by position:
h k l	two_theta	intensity
1 1 1	28.65	100.0
2 0 0	33.20	48.9
2 2 0	47.66	38.2
3 1 1	56.55	44.6
2 2 2	59.31	12.6
4 0 0	69.69	6.0
3 3 1	77.01	18.0
4 2 0	79.40	16.4
4 2 2	88.81	13.1

Structure:
Unit cell a=5.3972 b=5.3972 c=5.3972 alpha=90.00 beta=90.00 gamma=90.00
Space group Pm-3m (No. 221)
One atom of each set of equivalent atoms:
Pm 0.0000 0.0000 0.5000 [3 per cell]
Sm 0.5000 0.5000 0.5000 [1 per cell]
H 0.2512 0.2512 0.2512 [8 per cell]

For Ba8CuPd3I4, the PBE geometry in Alexandria gives the calculated powder XRD pattern in this record (CuKα).
Neutral-atom scattering factors, no anomalous dispersion.

Most intense lines, 10 to 90 degrees two-theta, sorted by position:
h k l	two_theta	intensity
0 2 4	25.84	100.0
2 0 5	27.78	8.3
2 0 8	35.06	34.9
2 2 0	38.60	37.0
4 0 4	47.04	19.2
2 2 9	49.91	7.6
0 4 8	53.13	10.4
2 2 12	57.51	10.5
2 4 4	62.42	16.4
4 2 8	67.57	10.1

Structure:
Unit cell a=9.3292 b=9.3292 c=26.4640 alpha=90.00 beta=90.00 gamma=120.00
Space group R-3m (No. 166, hexagonal axes)
One atom of each set of equivalent atoms:
Ba 0.0000 0.0000 0.2341 [6 per cell]
Ba 0.0038 0.5019 0.7651 [18 per cell]
Cu 0.0000 0.0000 0.5000 [3 per cell]
Pd 0.0000 0.5000 0.5000 [9 per cell]
I 0.0000 0.0000 0.0000 [3 per cell]
I 0.0000 0.5000 0.0000 [9 per cell]

For PmAl4Au2, the PBE geometry in Alexandria gives the calculated powder XRD pattern in this record (CuKα).
Neutral-atom scattering factors, no anomalous dispersion.

Most intense lines, 10 to 90 degrees two-theta, sorted by position:
h k l	two_theta	intensity
0 1 1	24.03	35.6
2 0 2	27.84	75.8
3 1 1	28.58	42.7
4 1 0	28.87	55.0
2 1 2	34.65	100.0
5 1 1	35.36	56.3
7 0 1	38.45	40.1
0 2 0	41.10	51.0
6 1 2	45.77	62.3
2 2 2	50.37	30.9

Structure:
Unit cell a=17.4253 b=4.3919 c=6.8934 alpha=90.00 beta=90.00 gamma=90.00
Space group Pnma (No. 62)
One atom of each set of equivalent atoms:
Pm 0.1401 0.2500 0.0093 [4 per cell]
Al 0.0350 0.7500 0.8501 [4 per cell]
Al 0.0671 0.2500 0.4768 [4 per cell]
Al 0.1844 0.7500 0.3223 [4 per cell]
Al 0.1890 0.7500 0.7238 [4 per cell]
Au 0.0361 0.7500 0.2490 [4 per cell]
Au 0.2159 0.2500 0.5263 [4 per cell]